Entry 1:
# Pr2NdY6Ho3
Simulated XRD peak list, Cu Ka. Input: a DFT-relaxed cell (GGA-PBE, Alexandria).
Neutral-atom scattering factors, no anomalous dispersion.

Largest 10 diffraction maxima, by angle, 10 to 90 degrees two-theta:
30.45 deg, rel. 100.0; 30.60 deg, rel. 32.8; 35.35 deg, rel. 66.9; 50.76 deg, rel. 23.7; 50.95 deg, rel. 23.3; 60.38 deg, rel. 23.3; 60.45 deg, rel. 18.5; 60.61 deg, rel. 13.7; 63.37 deg, rel. 12.0; 82.69 deg, rel. 11.4

Structure:
```
Pr2NdY6Ho3
1.0
3.116 -5.394 0.000
3.116 5.394 0.000
-2.069 0.000 11.687
Pr Nd Y Ho
2 1 6 3
Cartesian
3.116 3.596 0.000
3.116 -3.596 0.000
3.116 0.000 0.000
0.005 1.797 8.714
1.044 0.000 2.972
0.005 -1.797 8.714
4.159 1.797 2.972
3.119 0.000 8.714
4.159 -1.797 2.972
-1.035 0.000 5.843
2.082 1.798 5.843
2.082 -1.798 5.843
```


Entry 2:
# Pr2Nd5YHo
Simulated XRD peak list, Cu Ka. Input: a DFT-relaxed cell (GGA-PBE, Alexandria).
Neutral-atom scattering factors, no anomalous dispersion.

Largest 10 diffraction maxima, by angle, 10 to 90 degrees two-theta:
27.96 deg, rel. 45.6; 29.09 deg, rel. 53.2; 29.60 deg, rel. 100.0; 32.61 deg, rel. 16.9; 37.74 deg, rel. 14.1; 38.26 deg, rel. 12.7; 43.07 deg, rel. 22.9; 51.89 deg, rel. 27.9; 52.83 deg, rel. 11.9; 65.67 deg, rel. 10.9

Structure:
```
Pr2Nd5YHo
1.0
-4.341 4.341 8.398
4.341 -4.341 8.398
4.341 4.341 -8.398
Pr Nd Y Ho
4 10 2 2
Cartesian
5.399 1.058 0.000
1.058 3.283 0.000
3.283 1.058 8.398
-1.058 3.283 8.398
0.000 0.000 0.000
2.440 1.901 -2.416
2.440 -1.901 5.982
2.440 1.901 2.416
2.440 -1.901 10.814
0.000 0.000 8.398
1.901 6.242 -2.416
1.901 2.440 5.982
1.901 6.242 2.416
1.901 2.440 10.814
4.341 0.000 4.199
0.000 4.341 4.199
0.000 0.000 4.199
0.000 0.000 12.597
```


Entry 3:
# Nd7Ho12Pu
Simulated XRD peak list, Cu Ka. Input: a DFT-relaxed cell (GGA-PBE, Alexandria).
Neutral-atom scattering factors, no anomalous dispersion.

Largest 10 diffraction maxima, by angle, 10 to 90 degrees two-theta:
15.68 deg, rel. 17.0; 22.24 deg, rel. 17.0; 27.33 deg, rel. 79.0; 31.66 deg, rel. 100.0; 45.39 deg, rel. 73.4; 53.79 deg, rel. 35.4; 56.39 deg, rel. 25.5; 72.96 deg, rel. 13.8; 75.18 deg, rel. 31.9; 83.86 deg, rel. 24.0

Structure:
```
Nd7Ho12Pu
1.0
-5.652 5.652 5.652
5.652 -5.652 5.652
5.652 5.652 -5.652
Nd Ho Pu
7 12 1
Cartesian
2.826 2.826 -2.826
2.826 -2.826 2.826
5.652 0.000 0.000
-2.826 2.826 2.826
0.000 5.652 0.000
0.000 0.000 5.652
2.826 2.826 2.826
5.652 2.906 -2.906
5.652 -2.906 2.906
2.906 5.652 -2.906
2.746 2.746 0.000
2.746 0.000 2.746
2.906 -2.906 5.652
0.000 2.746 2.746
5.652 2.906 2.906
-2.906 5.652 2.906
-2.906 2.906 5.652
2.906 5.652 2.906
2.906 2.906 5.652
0.000 0.000 0.000
```


Entry 4:
# Nd4Ho8Pu
Simulated XRD peak list, Cu Ka. Input: a DFT-relaxed cell (GGA-PBE, Alexandria).
Neutral-atom scattering factors, no anomalous dispersion.

Largest 10 diffraction maxima, by angle, 10 to 90 degrees two-theta:
16.14 deg, rel. 13.3; 22.91 deg, rel. 13.0; 25.66 deg, rel. 13.2; 32.57 deg, rel. 100.0; 32.68 deg, rel. 98.9; 46.80 deg, rel. 36.4; 58.16 deg, rel. 57.0; 58.39 deg, rel. 18.7; 77.72 deg, rel. 16.1; 77.90 deg, rel. 16.0

Structure:
```
Nd4Ho8Pu
1.0
5.499 3.175 4.468
-5.499 3.175 4.468
0.000 -6.349 4.468
Nd Ho Pu
4 8 1
Cartesian
0.000 0.000 0.000
-2.749 -1.587 4.468
-2.749 1.587 8.936
0.000 3.175 4.468
0.000 -3.249 5.545
-2.814 1.625 5.545
0.000 0.000 3.268
-2.814 -1.625 7.859
2.814 1.625 5.545
0.000 0.000 10.136
2.814 -1.625 7.859
0.000 3.249 7.859
0.000 0.000 6.702
```


Entry 5:
# Rb3NdHo2Se6
Simulated XRD peak list, Cu Ka. Input: a DFT-relaxed cell (GGA-PBE, Alexandria).
Neutral-atom scattering factors, no anomalous dispersion.

Largest 10 diffraction maxima, by angle, 10 to 90 degrees two-theta:
11.05 deg, rel. 28.8; 28.31 deg, rel. 100.0; 35.68 deg, rel. 11.9; 38.61 deg, rel. 34.0; 42.26 deg, rel. 36.0; 51.65 deg, rel. 18.4; 58.57 deg, rel. 9.9; 63.69 deg, rel. 10.3; 68.87 deg, rel. 15.3; 74.84 deg, rel. 9.6

Structure:
```
Rb3NdHo2Se6
1.0
3.704 -6.416 0.000
3.704 6.416 0.000
-2.471 0.000 8.004
Rb Nd Ho Se
3 1 2 6
Cartesian
0.000 0.000 0.000
3.704 2.118 0.000
3.704 -2.118 0.000
2.468 0.000 4.002
2.468 4.275 4.002
2.468 -4.275 4.002
1.201 2.196 2.426
-0.067 0.000 5.574
1.201 -2.196 2.426
3.736 2.196 5.578
5.004 0.000 2.430
3.736 -2.196 5.578
```


Entry 6:
# Nd3HoRh4
Simulated XRD peak list, Cu Ka. Input: a DFT-relaxed cell (GGA-PBE, Alexandria).
Neutral-atom scattering factors, no anomalous dispersion.

Largest 10 diffraction maxima, by angle, 10 to 90 degrees two-theta:
35.97 deg, rel. 100.0; 36.65 deg, rel. 48.2; 50.76 deg, rel. 8.9; 52.80 deg, rel. 16.8; 64.22 deg, rel. 17.4; 65.55 deg, rel. 34.2; 76.28 deg, rel. 10.5; 85.72 deg, rel. 7.3; 88.95 deg, rel. 7.7; 89.35 deg, rel. 7.8

Structure:
```
Nd3HoRh4
1.0
3.467 0.000 0.000
0.000 3.467 0.000
0.000 0.000 14.390
Nd Ho Rh
3 1 4
Cartesian
0.000 0.000 0.000
0.000 0.000 3.659
0.000 0.000 10.731
0.000 0.000 7.195
1.734 1.734 1.831
1.734 1.734 5.533
1.734 1.734 8.857
1.734 1.734 12.559
```


Entry 7:
# Nd2HoRh
Simulated XRD peak list, Cu Ka. Input: a DFT-relaxed cell (GGA-PBE, Alexandria).
Neutral-atom scattering factors, no anomalous dispersion.

Largest 10 diffraction maxima, by angle, 10 to 90 degrees two-theta:
29.71 deg, rel. 36.8; 30.43 deg, rel. 100.0; 30.73 deg, rel. 23.1; 32.06 deg, rel. 53.6; 32.86 deg, rel. 38.8; 33.64 deg, rel. 43.5; 36.68 deg, rel. 19.6; 39.82 deg, rel. 19.6; 48.39 deg, rel. 22.9; 57.85 deg, rel. 24.8

Structure:
```
Nd2HoRh
1.0
7.270 0.000 0.000
0.000 9.950 0.000
0.000 0.000 6.349
Nd Ho Rh
8 4 4
Cartesian
1.297 0.652 1.079
1.297 4.323 1.079
2.338 5.627 4.254
2.338 9.298 4.254
4.932 0.652 2.095
4.932 4.323 2.095
5.973 5.627 5.269
5.973 9.298 5.269
0.274 2.487 4.134
3.361 7.462 0.959
3.909 2.487 5.389
6.996 7.462 2.215
0.891 7.462 6.012
2.744 2.487 2.838
4.526 7.462 3.511
6.379 2.487 0.337
```


Entry 8:
# Nd2HoRu
Simulated XRD peak list, Cu Ka. Input: a DFT-relaxed cell (GGA-PBE, Alexandria).
Neutral-atom scattering factors, no anomalous dispersion.

Largest 10 diffraction maxima, by angle, 10 to 90 degrees two-theta:
30.21 deg, rel. 79.1; 31.43 deg, rel. 42.9; 32.34 deg, rel. 91.1; 32.89 deg, rel. 100.0; 37.24 deg, rel. 39.1; 45.00 deg, rel. 32.3; 49.34 deg, rel. 21.8; 56.49 deg, rel. 37.3; 59.13 deg, rel. 25.9; 81.79 deg, rel. 19.6

Structure:
```
Nd2HoRu
1.0
4.029 0.000 0.000
0.000 12.064 0.000
0.000 0.000 9.346
Nd Ho Ru
8 4 4
Cartesian
0.000 1.694 0.637
0.000 1.694 4.036
0.000 10.370 5.310
0.000 10.370 8.709
2.015 4.338 5.310
2.015 4.338 8.709
2.015 7.726 0.637
2.015 7.726 4.036
0.000 5.051 2.337
0.000 7.013 7.010
2.015 0.981 7.010
2.015 11.083 2.337
0.000 2.894 7.010
0.000 9.170 2.337
2.015 3.138 2.337
2.015 8.926 7.010
```


Entry 9:
# NdHo2Ru9
Simulated XRD peak list, Cu Ka. Input: a DFT-relaxed cell (GGA-PBE, Alexandria).
Neutral-atom scattering factors, no anomalous dispersion.

Largest 10 diffraction maxima, by angle, 10 to 90 degrees two-theta:
30.95 deg, rel. 20.3; 33.80 deg, rel. 63.2; 39.41 deg, rel. 29.0; 39.87 deg, rel. 100.0; 41.69 deg, rel. 28.3; 43.06 deg, rel. 33.3; 64.51 deg, rel. 12.0; 64.59 deg, rel. 21.7; 71.16 deg, rel. 21.1; 85.98 deg, rel. 12.2

Structure:
```
NdHo2Ru9
1.0
2.650 1.530 8.674
-2.650 1.530 8.674
0.000 -3.060 8.674
Nd Ho Ru
1 2 9
Cartesian
0.000 0.000 0.000
0.000 0.000 3.637
0.000 0.000 22.384
-1.371 -0.792 10.848
0.000 0.000 8.810
0.000 -1.584 15.173
-1.371 0.792 15.173
0.000 0.000 13.011
1.371 -0.792 10.848
0.000 1.584 10.848
0.000 0.000 17.211
1.371 0.792 15.173
```


Entry 10:
# Nd3HoRu
Simulated XRD peak list, Cu Ka. Input: a DFT-relaxed cell (GGA-PBE, Alexandria).
Neutral-atom scattering factors, no anomalous dispersion.

Largest 10 diffraction maxima, by angle, 10 to 90 degrees two-theta:
27.67 deg, rel. 60.6; 30.22 deg, rel. 45.4; 30.61 deg, rel. 27.1; 31.23 deg, rel. 100.0; 36.97 deg, rel. 19.0; 37.89 deg, rel. 20.2; 41.12 deg, rel. 24.7; 49.89 deg, rel. 34.9; 50.77 deg, rel. 20.5; 51.87 deg, rel. 20.2

Structure:
```
Nd3HoRu
1.0
-4.749 3.779 4.391
4.749 -3.779 4.391
4.749 3.779 -4.391
Nd Ho Ru
6 2 2
Cartesian
2.375 -0.141 2.218
0.380 1.873 0.000
4.369 1.873 0.000
2.375 3.920 -2.173
0.380 1.905 4.391
4.369 1.905 4.391
2.375 -0.217 6.563
2.375 3.996 2.172
7.124 1.845 0.000
-2.375 1.934 4.391
```


Entry 11:
# NdHoTmRu
Simulated XRD peak list, Cu Ka. Input: a DFT-relaxed cell (GGA-PBE, Alexandria).
Neutral-atom scattering factors, no anomalous dispersion.

Largest 10 diffraction maxima, by angle, 10 to 90 degrees two-theta:
27.88 deg, rel. 24.0; 29.85 deg, rel. 20.0; 32.89 deg, rel. 100.0; 37.12 deg, rel. 57.4; 40.00 deg, rel. 21.8; 48.34 deg, rel. 21.4; 48.48 deg, rel. 15.4; 53.51 deg, rel. 20.1; 64.25 deg, rel. 28.8; 74.53 deg, rel. 12.9

Structure:
```
NdHoTmRu
1.0
3.425 0.000 0.000
0.000 3.425 0.000
0.000 0.000 8.980
Nd Ho Tm Ru
1 1 1 1
Cartesian
0.000 0.000 0.000
1.713 1.713 6.086
1.713 1.713 2.855
0.000 0.000 4.452
```


Entry 12:
# Nd4HoS5
Simulated XRD peak list, Cu Ka. Input: a DFT-relaxed cell (GGA-PBE, Alexandria).
Neutral-atom scattering factors, no anomalous dispersion.

Largest 10 diffraction maxima, by angle, 10 to 90 degrees two-theta:
27.06 deg, rel. 76.2; 31.35 deg, rel. 100.0; 44.92 deg, rel. 71.9; 53.15 deg, rel. 12.3; 53.27 deg, rel. 25.2; 55.80 deg, rel. 24.9; 72.14 deg, rel. 15.0; 74.21 deg, rel. 9.9; 74.38 deg, rel. 21.3; 82.91 deg, rel. 16.0

Structure:
```
Nd4HoS5
1.0
-2.016 2.016 14.295
2.016 -2.016 14.295
2.016 2.016 -14.295
Nd Ho S
4 1 5
Cartesian
0.000 0.000 2.884
0.000 0.000 8.675
0.000 0.000 19.914
0.000 0.000 25.705
0.000 0.000 14.295
0.000 0.000 0.000
0.000 0.000 5.769
0.000 0.000 11.555
0.000 0.000 17.034
0.000 0.000 22.820
```